No. 1
Diffraction record for CuAgS. The powder diffraction line list is simulated, not measured: it uses a crystal structure in the Materials Project, relaxed with GGA-PBE and Cu Ka.
Intensities are scaled so that the largest is 100.

Atomic structure:
```
data_CuAgS
_chemical_formula_sum 'Cu2 Ag2 S2'
_cell_length_a 3.979
_cell_length_b 3.979
_cell_length_c 6.207
_cell_angle_alpha 90.00
_cell_angle_beta 90.00
_cell_angle_gamma 90.00
_symmetry_space_group_name_H-M 'P 1'
_symmetry_Int_Tables_number 1
loop_
_symmetry_equiv_pos_as_xyz
'x,y,z'
loop_
_atom_site_label
_atom_site_type_symbol
_atom_site_fract_x
_atom_site_fract_y
_atom_site_fract_z
Cu1 Cu 0.250 0.750 0.000
Cu2 Cu 0.750 0.250 0.000
Ag1 Ag 0.250 0.250 0.349
Ag2 Ag 0.750 0.750 0.651
S1 S 0.250 0.250 0.770
S2 S 0.750 0.750 0.230
```

Peak list (6 most intense, 10° ≤ 2θ ≤ 90°, sorted by position)
2θ/deg	Rel. int.
26.61	40
35.02	100
36.73	67
43.41	58
45.60	62
59.93	30

=====

No. 2
Diffraction record for Re2O9. The powder diffraction line list is simulated, not measured: it uses a crystal structure in the Materials Project, relaxed with GGA-PBE and Cu Ka.
Intensities are scaled so that the largest is 100.

Atomic structure:
```
data_Re2O9
_chemical_formula_sum 'Re4 O18'
_cell_length_a 5.122
_cell_length_b 8.953
_cell_length_c 8.636
_cell_angle_alpha 90.00
_cell_angle_beta 103.33
_cell_angle_gamma 90.00
_symmetry_space_group_name_H-M 'P 1'
_symmetry_Int_Tables_number 1
loop_
_symmetry_equiv_pos_as_xyz
'x,y,z'
loop_
_atom_site_label
_atom_site_type_symbol
_atom_site_fract_x
_atom_site_fract_y
_atom_site_fract_z
Re1 Re 0.033 0.250 0.051
Re2 Re 0.362 0.750 0.398
Re3 Re 0.638 0.250 0.602
Re4 Re 0.967 0.750 0.949
O1 O 0.169 0.750 0.152
O2 O 0.171 0.750 0.814
O3 O 0.175 0.594 0.431
O4 O 0.175 0.906 0.431
O5 O 0.238 0.092 0.084
O6 O 0.238 0.408 0.084
O7 O 0.357 0.250 0.442
O8 O 0.396 0.133 0.728
O9 O 0.396 0.367 0.728
O10 O 0.604 0.633 0.272
O11 O 0.604 0.867 0.272
O12 O 0.643 0.750 0.558
O13 O 0.762 0.592 0.916
O14 O 0.762 0.908 0.916
O15 O 0.825 0.094 0.569
O16 O 0.825 0.406 0.569
O17 O 0.829 0.250 0.186
O18 O 0.831 0.250 0.848
```

Peak list (6 most intense, 10° ≤ 2θ ≤ 90°, sorted by position)
2θ/deg	Rel. int.
18.49	100
19.83	90
23.39	74
24.85	57
27.24	74
42.75	23

=====

No. 3
Diffraction record for MgSb2O4. The powder diffraction line list is simulated, not measured: it uses a crystal structure in the Materials Project, relaxed with GGA-PBE and Cu Ka.
Intensities are scaled so that the largest is 100.

Atomic structure:
```
data_MgSb2O4
_chemical_formula_sum 'Mg4 Sb8 O16'
_cell_length_a 3.393
_cell_length_b 10.969
_cell_length_c 10.719
_cell_angle_alpha 90.00
_cell_angle_beta 90.00
_cell_angle_gamma 90.00
_symmetry_space_group_name_H-M 'P 1'
_symmetry_Int_Tables_number 1
loop_
_symmetry_equiv_pos_as_xyz
'x,y,z'
loop_
_atom_site_label
_atom_site_type_symbol
_atom_site_fract_x
_atom_site_fract_y
_atom_site_fract_z
Mg1 Mg 0.166 0.117 0.250
Mg2 Mg 0.166 0.383 0.750
Mg3 Mg 0.834 0.617 0.250
Mg4 Mg 0.834 0.883 0.750
Sb1 Sb 0.392 0.624 0.588
Sb2 Sb 0.392 0.624 0.912
Sb3 Sb 0.392 0.876 0.088
Sb4 Sb 0.392 0.876 0.412
Sb5 Sb 0.608 0.124 0.588
Sb6 Sb 0.608 0.124 0.912
Sb7 Sb 0.608 0.376 0.088
Sb8 Sb 0.608 0.376 0.412
O1 O 0.255 0.250 0.000
O2 O 0.255 0.250 0.500
O3 O 0.350 0.205 0.750
O4 O 0.350 0.295 0.250
O5 O 0.368 0.548 0.123
O6 O 0.368 0.548 0.377
O7 O 0.368 0.952 0.623
O8 O 0.368 0.952 0.877
O9 O 0.632 0.048 0.123
O10 O 0.632 0.048 0.377
O11 O 0.632 0.452 0.623
O12 O 0.632 0.452 0.877
O13 O 0.650 0.705 0.750
O14 O 0.650 0.795 0.250
O15 O 0.745 0.750 0.000
O16 O 0.745 0.750 0.500
```

Peak list (6 most intense, 10° ≤ 2θ ≤ 90°, sorted by position)
2θ/deg	Rel. int.
18.17	53
26.26	52
29.84	100
32.12	33
32.65	36
40.17	39

=====

No. 4
Diffraction record for NbSeI. The powder diffraction line list is simulated, not measured: it uses a crystal structure in the Materials Project, relaxed with GGA-PBE and Cu Ka.
Intensities are scaled so that the largest is 100.

Atomic structure:
```
data_NbSeI
_chemical_formula_sum 'Nb4 Se4 I4'
_cell_length_a 7.759
_cell_length_b 7.759
_cell_length_c 7.759
_cell_angle_alpha 120.94
_cell_angle_beta 119.35
_cell_angle_gamma 89.76
_symmetry_space_group_name_H-M 'P 1'
_symmetry_Int_Tables_number 1
loop_
_symmetry_equiv_pos_as_xyz
'x,y,z'
loop_
_atom_site_label
_atom_site_type_symbol
_atom_site_fract_x
_atom_site_fract_y
_atom_site_fract_z
Nb1 Nb 0.199 0.013 0.813
Nb2 Nb 0.199 0.386 0.187
Nb3 Nb 0.201 0.000 0.201
Nb4 Nb 0.799 0.000 0.799
Se1 Se 0.496 0.228 0.268
Se2 Se 0.960 0.228 0.732
Se3 Se 0.970 0.228 0.258
Se4 Se 0.970 0.711 0.742
I1 I 0.470 0.728 0.742
I2 I 0.471 0.218 0.747
I3 I 0.471 0.724 0.253
I4 I 0.986 0.728 0.258
```

Peak list (6 most intense, 10° ≤ 2θ ≤ 90°, sorted by position)
2θ/deg	Rel. int.
14.10	26
27.96	29
28.43	31
32.57	53
32.72	100
46.84	64

=====

No. 5
Diffraction record for FeS2. The powder diffraction line list is simulated, not measured: it uses a crystal structure in the Materials Project, relaxed with GGA-PBE and Cu Ka.
Intensities are scaled so that the largest is 100.

Atomic structure:
```
data_FeS2
_chemical_formula_sum 'Fe4 S8'
_cell_length_a 6.419
_cell_length_b 5.674
_cell_length_c 5.756
_cell_angle_alpha 90.00
_cell_angle_beta 92.18
_cell_angle_gamma 90.00
_symmetry_space_group_name_H-M 'P 1'
_symmetry_Int_Tables_number 1
loop_
_symmetry_equiv_pos_as_xyz
'x,y,z'
loop_
_atom_site_label
_atom_site_type_symbol
_atom_site_fract_x
_atom_site_fract_y
_atom_site_fract_z
Fe1 Fe 0.108 0.249 0.010
Fe2 Fe 0.108 0.751 0.510
Fe3 Fe 0.892 0.249 0.490
Fe4 Fe 0.892 0.751 0.990
S1 S 0.227 0.113 0.647
S2 S 0.227 0.887 0.147
S3 S 0.228 0.389 0.379
S4 S 0.228 0.611 0.879
S5 S 0.772 0.389 0.121
S6 S 0.772 0.611 0.621
S7 S 0.773 0.113 0.853
S8 S 0.773 0.887 0.353
```

Peak list (6 most intense, 10° ≤ 2θ ≤ 90°, sorted by position)
2θ/deg	Rel. int.
13.81	100
27.82	16
34.60	18
35.27	27
36.23	16
47.58	19

=====

No. 6
Diffraction record for CuPHO4. The powder diffraction line list is simulated, not measured: it uses a crystal structure in the Materials Project, relaxed with GGA-PBE and Cu Ka.
Intensities are scaled so that the largest is 100.

Atomic structure:
```
data_CuPHO4
_chemical_formula_sum 'Cu6 P6 H6 O24'
_cell_length_a 9.689
_cell_length_b 9.689
_cell_length_c 9.689
_cell_angle_alpha 114.71
_cell_angle_beta 114.71
_cell_angle_gamma 114.71
_symmetry_space_group_name_H-M 'P 1'
_symmetry_Int_Tables_number 1
loop_
_symmetry_equiv_pos_as_xyz
'x,y,z'
loop_
_atom_site_label
_atom_site_type_symbol
_atom_site_fract_x
_atom_site_fract_y
_atom_site_fract_z
Cu1 Cu 0.081 0.808 0.564
Cu2 Cu 0.192 0.436 0.919
Cu3 Cu 0.436 0.919 0.192
Cu4 Cu 0.564 0.081 0.808
Cu5 Cu 0.808 0.564 0.081
Cu6 Cu 0.919 0.192 0.436
P1 P 0.249 0.686 0.315
P2 P 0.314 0.685 0.751
P3 P 0.315 0.249 0.686
P4 P 0.685 0.751 0.314
P5 P 0.686 0.315 0.249
P6 P 0.751 0.314 0.685
H1 H 0.132 0.441 0.316
H2 H 0.316 0.132 0.441
H3 H 0.441 0.316 0.132
H4 H 0.559 0.684 0.868
H5 H 0.684 0.868 0.559
H6 H 0.868 0.559 0.684
O1 O 0.109 0.723 0.310
O2 O 0.130 0.451 0.518
O3 O 0.146 0.456 0.226
O4 O 0.154 0.260 0.672
O5 O 0.226 0.146 0.456
O6 O 0.260 0.672 0.154
O7 O 0.277 0.690 0.891
O8 O 0.310 0.109 0.723
O9 O 0.328 0.846 0.740
O10 O 0.451 0.518 0.130
O11 O 0.456 0.226 0.146
O12 O 0.482 0.870 0.549
O13 O 0.518 0.130 0.451
O14 O 0.544 0.774 0.854
O15 O 0.549 0.482 0.870
O16 O 0.672 0.154 0.260
O17 O 0.690 0.891 0.277
O18 O 0.723 0.310 0.109
O19 O 0.740 0.328 0.846
O20 O 0.774 0.854 0.544
O21 O 0.846 0.740 0.328
O22 O 0.854 0.544 0.774
O23 O 0.870 0.549 0.482
O24 O 0.891 0.277 0.690
```

Peak list (6 most intense, 10° ≤ 2θ ≤ 90°, sorted by position)
2θ/deg	Rel. int.
10.84	100
21.15	20
28.96	10
30.55	39
31.19	16
44.55	8